1.
RbHgBi2Au2: simulated X-ray powder pattern (Cu Kα, 1.54184 Å), based on a crystal structure in Alexandria, relaxed with PBE.
Peak positions follow from Bragg's law for the DFT cell and can differ from measured ones.

Crystal structure
```
RbHgBi2Au2
1.0
7.6796 0.0000 0.0000
0.0000 10.7415 0.0000
0.0000 0.0000 5.0292
Rb Hg Bi Au
2 2 4 4
Direct
0.0000 0.0000 0.0000
0.5000 0.5000 0.5000
0.0000 0.5000 0.0000
0.5000 0.0000 0.5000
0.0657 0.3066 0.5000
0.4343 0.8066 0.0000
0.5657 0.1934 0.0000
0.9343 0.6934 0.5000
0.2441 0.3027 0.0000
0.2559 0.8027 0.5000
0.7441 0.1973 0.5000
0.7559 0.6973 0.0000
```

Main lines, sorted by position (10° ≤ 2θ ≤ 80°):
14.18 deg, intensity 42; 16.51 deg, intensity 28; 20.18 deg, intensity 39; 22.70 deg, intensity 23; 24.62 deg, intensity 19; 26.92 deg, intensity 100; 28.58 deg, intensity 20; 35.41 deg, intensity 24; 35.71 deg, intensity 46; 38.77 deg, intensity 59; 40.42 deg, intensity 60; 43.80 deg, intensity 20


2.
Cr3Os: simulated X-ray powder pattern (Cu Kα, 1.54184 Å), based on a crystal structure in Alexandria, relaxed with PBE.
Peak positions follow from Bragg's law for the DFT cell and can differ from measured ones.

Crystal structure
```
Cr3Os
1.0
2.9032 0.0000 0.0000
0.0000 4.1639 0.0000
0.0000 0.0000 8.1905
Cr Os
6 2
Direct
0.0000 0.0000 0.0000
0.0000 0.5000 0.2628
0.0000 0.5000 0.7372
0.5000 0.0000 0.2372
0.5000 0.0000 0.7628
0.5000 0.5000 0.5000
0.0000 0.0000 0.5000
0.5000 0.5000 0.0000
```

Main lines, sorted by position (10° ≤ 2θ ≤ 80°):
21.70 deg, intensity 23; 23.97 deg, intensity 31; 32.73 deg, intensity 19; 37.78 deg, intensity 12; 39.47 deg, intensity 15; 43.47 deg, intensity 26; 43.98 deg, intensity 100; 44.23 deg, intensity 24; 55.46 deg, intensity 9; 59.54 deg, intensity 7; 63.75 deg, intensity 15; 64.16 deg, intensity 8


3.
Sc2Cd12Ag: simulated X-ray powder pattern (Cu Kα, 1.54184 Å), based on a crystal structure in Alexandria, relaxed with PBE.
Peak positions follow from Bragg's law for the DFT cell and can differ from measured ones.

Crystal structure
```
Sc2Cd12Ag
1.0
5.9808 0.0000 0.0000
0.0000 5.9808 0.0000
0.0000 0.0000 19.6794
Sc Cd Ag
4 24 2
Direct
0.2500 0.7500 0.2474
0.2500 0.7500 0.7526
0.7500 0.2500 0.2474
0.7500 0.2500 0.7526
0.0002 0.9998 0.4028
0.9998 0.0002 0.5972
0.9998 0.4998 0.4028
0.0002 0.5002 0.5972
0.0763 0.5763 0.0674
0.0763 0.9237 0.9326
0.2500 0.2500 0.1649
0.2500 0.2500 0.3012
0.2500 0.2500 0.6988
0.2500 0.2500 0.8351
0.4237 0.5763 0.9326
0.4237 0.9237 0.0674
0.5002 0.0002 0.4028
0.4998 0.9998 0.5972
0.4998 0.5002 0.4028
0.5002 0.4998 0.5972
0.5763 0.0763 0.9326
0.5763 0.4237 0.0674
0.7500 0.7500 0.1649
0.7500 0.7500 0.3012
0.7500 0.7500 0.6988
0.7500 0.7500 0.8351
0.9237 0.0763 0.0674
0.9237 0.4237 0.9326
0.2500 0.7500 0.5000
0.7500 0.2500 0.5000
```

Main lines, sorted by position (10° ≤ 2θ ≤ 80°):
22.89 deg, intensity 63; 31.26 deg, intensity 72; 32.92 deg, intensity 22; 35.12 deg, intensity 40; 36.27 deg, intensity 27; 37.78 deg, intensity 36; 38.30 deg, intensity 25; 38.45 deg, intensity 31; 40.83 deg, intensity 100; 41.29 deg, intensity 26; 42.76 deg, intensity 66; 61.88 deg, intensity 25


4.
Er5SnRu2: simulated X-ray powder pattern (Cu Kα, 1.54184 Å), based on a crystal structure in Alexandria, relaxed with PBE.
Peak positions follow from Bragg's law for the DFT cell and can differ from measured ones.

Crystal structure
```
Er5SnRu2
1.0
-3.8267 3.8267 6.7397
3.8267 -3.8267 6.7397
3.8267 3.8267 -6.7397
Er Sn Ru
10 2 4
Direct
0.0000 0.0000 0.0000
0.0252 0.5252 0.8165
0.2087 0.0252 0.5000
0.2913 0.7913 0.8165
0.4748 0.2913 0.5000
0.5000 0.5000 0.0000
0.5252 0.7087 0.5000
0.7087 0.2087 0.1835
0.7913 0.9748 0.5000
0.9748 0.4748 0.1835
0.2500 0.2500 0.0000
0.7500 0.7500 0.0000
0.1412 0.3588 0.5000
0.3588 0.8588 0.2176
0.6412 0.1412 0.7824
0.8588 0.6412 0.5000
```

Main lines, sorted by position (10° ≤ 2θ ≤ 80°):
13.14 deg, intensity 12; 26.87 deg, intensity 17; 31.27 deg, intensity 28; 32.90 deg, intensity 100; 33.11 deg, intensity 13; 35.50 deg, intensity 33; 37.15 deg, intensity 65; 42.69 deg, intensity 26; 53.41 deg, intensity 12; 57.99 deg, intensity 18; 67.77 deg, intensity 21; 69.35 deg, intensity 16


5.
AgI: simulated X-ray powder pattern (Cu Kα, 1.54184 Å), based on a crystal structure in Alexandria, relaxed with PBE.
Peak positions follow from Bragg's law for the DFT cell and can differ from measured ones.

Crystal structure
```
AgI
1.0
8.0519 0.0000 0.0000
0.0000 8.0519 0.0000
0.0000 0.0000 8.0519
Ag I
8 8
Direct
0.1443 0.1443 0.1443
0.1443 0.3557 0.6443
0.3557 0.6443 0.1443
0.3557 0.8557 0.6443
0.6443 0.1443 0.3557
0.6443 0.3557 0.8557
0.8557 0.6443 0.3557
0.8557 0.8557 0.8557
0.1468 0.6468 0.8532
0.1468 0.8532 0.3532
0.3532 0.1468 0.8532
0.3532 0.3532 0.3532
0.6468 0.6468 0.6468
0.6468 0.8532 0.1468
0.8532 0.1468 0.6468
0.8532 0.3532 0.1468
```

Main lines, sorted by position (10° ≤ 2θ ≤ 80°):
22.08 deg, intensity 13; 27.13 deg, intensity 100; 41.98 deg, intensity 76; 45.04 deg, intensity 21; 47.93 deg, intensity 5; 50.70 deg, intensity 4; 53.37 deg, intensity 8; 58.44 deg, intensity 7; 63.26 deg, intensity 14; 65.59 deg, intensity 10; 70.12 deg, intensity 5; 72.34 deg, intensity 24


6.
Ho3Co6Sn5: simulated X-ray powder pattern (Cu Kα, 1.54184 Å), based on a crystal structure in Alexandria, relaxed with PBE.
Peak positions follow from Bragg's law for the DFT cell and can differ from measured ones.

Crystal structure
```
Ho3Co6Sn5
1.0
-2.1572 4.7995 6.1457
2.1572 -4.7995 6.1457
2.1572 4.7995 -6.1457
Ho Co Sn
3 6 5
Direct
0.0000 0.0000 0.0000
0.3176 0.3176 0.0000
0.6824 0.6824 0.0000
0.1651 0.8925 0.2726
0.3051 0.5000 0.8051
0.3801 0.1075 0.2726
0.6199 0.8925 0.7274
0.6949 0.5000 0.1949
0.8349 0.1075 0.7274
0.0184 0.6769 0.3415
0.3355 0.6769 0.6585
0.5000 0.0000 0.5000
0.6645 0.3231 0.3415
0.9816 0.3231 0.6585
```

Main lines, sorted by position (10° ≤ 2θ ≤ 80°):
30.08 deg, intensity 72; 34.91 deg, intensity 50; 35.57 deg, intensity 100; 37.95 deg, intensity 34; 41.88 deg, intensity 46; 42.32 deg, intensity 21; 43.79 deg, intensity 14; 44.21 deg, intensity 17; 46.56 deg, intensity 25; 56.11 deg, intensity 28; 57.51 deg, intensity 16; 66.36 deg, intensity 25


7.
Na12MgHg3: simulated X-ray powder pattern (Cu Kα, 1.54184 Å), based on a crystal structure in Alexandria, relaxed with PBE.
Peak positions follow from Bragg's law for the DFT cell and can differ from measured ones.

Crystal structure
```
Na12MgHg3
1.0
4.9012 0.0000 0.0000
0.0000 4.9012 0.0000
0.0000 0.0000 19.8305
Na Mg Hg
12 1 3
Direct
0.0000 0.0000 0.0000
0.0000 0.0000 0.2448
0.0000 0.0000 0.5000
0.0000 0.0000 0.7552
0.0000 0.5000 0.1227
0.0000 0.5000 0.3671
0.0000 0.5000 0.6329
0.0000 0.5000 0.8773
0.5000 0.0000 0.1227
0.5000 0.0000 0.3671
0.5000 0.0000 0.6329
0.5000 0.0000 0.8773
0.5000 0.5000 0.5000
0.5000 0.5000 0.0000
0.5000 0.5000 0.2443
0.5000 0.5000 0.7557
```

Main lines, sorted by position (10° ≤ 2θ ≤ 80°):
17.89 deg, intensity 31; 18.10 deg, intensity 61; 25.56 deg, intensity 55; 25.71 deg, intensity 27; 31.50 deg, intensity 100; 36.24 deg, intensity 16; 36.67 deg, intensity 34; 40.79 deg, intensity 16; 41.14 deg, intensity 33; 45.23 deg, intensity 25; 52.51 deg, intensity 22; 62.82 deg, intensity 27


8.
PmEr2Se3: simulated X-ray powder pattern (Cu Kα, 1.54184 Å), based on a crystal structure in Alexandria, relaxed with PBE.
Peak positions follow from Bragg's law for the DFT cell and can differ from measured ones.

Crystal structure
```
PmEr2Se3
1.0
4.0890 0.0000 0.0000
0.0000 5.7751 0.0000
0.0000 0.0000 12.3119
Pm Er Se
2 4 6
Direct
0.0000 0.0000 0.0000
0.5000 0.5000 0.5000
0.0000 0.0000 0.3402
0.0000 0.0000 0.6598
0.5000 0.5000 0.1598
0.5000 0.5000 0.8402
0.0000 0.5000 0.0000
0.0000 0.5000 0.3234
0.0000 0.5000 0.6766
0.5000 0.0000 0.1766
0.5000 0.0000 0.5000
0.5000 0.0000 0.8234
```

Main lines, sorted by position (10° ≤ 2θ ≤ 80°):
26.68 deg, intensity 21; 30.90 deg, intensity 100; 44.13 deg, intensity 12; 44.30 deg, intensity 62; 52.49 deg, intensity 7; 54.89 deg, intensity 12; 55.03 deg, intensity 13; 64.32 deg, intensity 8; 64.55 deg, intensity 4; 72.92 deg, intensity 5; 73.12 deg, intensity 16; 73.26 deg, intensity 11


9.
Sm2Ga8Pd: simulated X-ray powder pattern (Cu Kα, 1.54184 Å), based on a crystal structure in Alexandria, relaxed with PBE.
Peak positions follow from Bragg's law for the DFT cell and can differ from measured ones.

Crystal structure
```
Sm2Ga8Pd
1.0
4.3703 0.0000 0.0000
0.0000 4.3703 0.0000
0.0000 0.0000 11.2985
Sm Ga Pd
2 8 1
Direct
0.0000 0.0000 0.1913
0.0000 0.0000 0.8087
0.0000 0.5000 0.0000
0.0000 0.5000 0.3765
0.0000 0.5000 0.6235
0.5000 0.0000 0.0000
0.5000 0.0000 0.3765
0.5000 0.0000 0.6235
0.5000 0.5000 0.1921
0.5000 0.5000 0.8079
0.0000 0.0000 0.5000
```

Main lines, sorted by position (10° ≤ 2θ ≤ 80°):
20.32 deg, intensity 22; 31.35 deg, intensity 13; 33.04 deg, intensity 28; 37.65 deg, intensity 100; 39.90 deg, intensity 14; 41.32 deg, intensity 52; 43.40 deg, intensity 8; 58.78 deg, intensity 17; 59.86 deg, intensity 17; 72.90 deg, intensity 31; 73.76 deg, intensity 11; 74.37 deg, intensity 8


10.
RbLi3Cu4Cl12: simulated X-ray powder pattern (Cu Kα, 1.54184 Å), based on a crystal structure in Alexandria, relaxed with PBE.
Peak positions follow from Bragg's law for the DFT cell and can differ from measured ones.

Crystal structure
```
RbLi3Cu4Cl12
1.0
6.6899 3.8624 3.3812
-6.6899 3.8624 3.3812
0.0000 -7.7248 3.3812
Rb Li Cu Cl
1 3 4 12
Direct
0.0000 0.0000 0.0000
0.0000 0.5650 0.4350
0.4350 0.0000 0.5650
0.5650 0.4350 0.0000
0.0694 0.5000 0.9306
0.5000 0.5000 0.5000
0.5000 0.9306 0.0694
0.9306 0.0694 0.5000
0.0695 0.6553 0.7611
0.0924 0.9076 0.5000
0.2389 0.3447 0.9305
0.3383 0.6617 0.5000
0.3447 0.9305 0.2389
0.5000 0.0924 0.9076
0.5000 0.3383 0.6617
0.6553 0.7611 0.0695
0.6617 0.5000 0.3383
0.7611 0.0695 0.6553
0.9076 0.5000 0.0924
0.9305 0.2389 0.3447
```

Main lines, sorted by position (10° ≤ 2θ ≤ 80°):
17.63 deg, intensity 30; 22.11 deg, intensity 39; 23.31 deg, intensity 100; 26.36 deg, intensity 80; 26.90 deg, intensity 62; 29.15 deg, intensity 60; 29.60 deg, intensity 28; 35.50 deg, intensity 31; 38.76 deg, intensity 23; 42.91 deg, intensity 42; 49.10 deg, intensity 31; 58.67 deg, intensity 35


11.
ThNi4Ir2: simulated X-ray powder pattern (Cu Kα, 1.54184 Å), based on a crystal structure in Alexandria, relaxed with PBE.
Peak positions follow from Bragg's law for the DFT cell and can differ from measured ones.

Crystal structure
```
ThNi4Ir2
1.0
7.1494 0.0000 0.0000
0.0000 7.1494 0.0000
0.0000 0.0000 5.1295
Th Ni Ir
2 8 4
Direct
0.0000 0.0000 0.0000
0.5000 0.5000 0.5000
0.0000 0.2174 0.5000
0.0000 0.7826 0.5000
0.2174 0.0000 0.5000
0.2826 0.5000 0.0000
0.5000 0.2826 0.0000
0.5000 0.7174 0.0000
0.7174 0.5000 0.0000
0.7826 0.0000 0.5000
0.0000 0.5000 0.2500
0.0000 0.5000 0.7500
0.5000 0.0000 0.2500
0.5000 0.0000 0.7500
```

Main lines, sorted by position (10° ≤ 2θ ≤ 80°):
24.91 deg, intensity 100; 33.01 deg, intensity 53; 35.52 deg, intensity 14; 39.40 deg, intensity 70; 49.27 deg, intensity 30; 50.71 deg, intensity 12; 51.10 deg, intensity 26; 54.07 deg, intensity 41; 57.66 deg, intensity 18; 61.50 deg, intensity 9; 73.08 deg, intensity 9; 77.60 deg, intensity 25


12.
PrSmCuRu: simulated X-ray powder pattern (Cu Kα, 1.54184 Å), based on a crystal structure in Alexandria, relaxed with PBE.
Peak positions follow from Bragg's law for the DFT cell and can differ from measured ones.

Crystal structure
```
PrSmCuRu
1.0
4.3386 0.0000 0.0000
0.0000 3.9797 0.0000
0.0000 0.0000 10.7268
Pr Sm Cu Ru
2 2 2 2
Direct
0.0000 0.0000 0.0000
0.0000 0.5000 0.5000
0.5000 0.0000 0.2808
0.5000 0.5000 0.7808
0.5000 0.0000 0.5742
0.5000 0.5000 0.0742
0.0000 0.0000 0.7193
0.0000 0.5000 0.2193
```

Main lines, sorted by position (10° ≤ 2θ ≤ 80°):
26.42 deg, intensity 19; 31.63 deg, intensity 100; 33.41 deg, intensity 24; 33.70 deg, intensity 38; 39.50 deg, intensity 22; 39.75 deg, intensity 55; 41.63 deg, intensity 27; 45.59 deg, intensity 21; 54.40 deg, intensity 12; 54.59 deg, intensity 19; 63.43 deg, intensity 15; 65.24 deg, intensity 14


13.
TcS: simulated X-ray powder pattern (Cu Kα, 1.54184 Å), based on a crystal structure in Alexandria, relaxed with PBE.
Peak positions follow from Bragg's law for the DFT cell and can differ from measured ones.

Crystal structure
```
TcS
1.0
3.0129 0.0000 0.0000
-1.5064 2.6092 0.0000
0.0000 0.0000 9.1099
Tc S
2 2
Direct
0.3333 0.6667 0.1184
0.6667 0.3333 0.8816
0.3333 0.6667 0.7101
0.6667 0.3333 0.2898
```

Main lines, sorted by position (10° ≤ 2θ ≤ 80°):
34.37 deg, intensity 33; 35.80 deg, intensity 28; 39.57 deg, intensity 11; 39.81 deg, intensity 100; 45.85 deg, intensity 54; 50.06 deg, intensity 11; 53.40 deg, intensity 7; 61.56 deg, intensity 23; 62.14 deg, intensity 16; 62.49 deg, intensity 11; 75.70 deg, intensity 10; 75.86 deg, intensity 14